1.
Starting from a DFT-relaxed cell (PBE, Alexandria), the powder XRD pattern of Pa2Ga2Ni15 was simulated for a wavelength of 1.5418 Å.
Lines closer than 0.1° are merged.

Structural model:
abc: 6.298 6.298 6.298
angles: 82.16 82.16 82.16
Sites, in units of the cell vectors:
Pa: 0.151 0.151 0.151
Pa: 0.849 0.849 0.849
Ga: 0.397 0.397 0.397
Ga: 0.603 0.603 0.603
Ni: 0.000 0.500 0.500
Ni: 0.153 0.153 0.658
Ni: 0.153 0.658 0.153
Ni: 0.193 0.500 0.807
Ni: 0.193 0.807 0.500
Ni: 0.342 0.847 0.847
Ni: 0.500 0.000 0.500
Ni: 0.500 0.193 0.807
Ni: 0.500 0.500 0.000
Ni: 0.500 0.807 0.193
Ni: 0.658 0.153 0.153
Ni: 0.807 0.193 0.500
Ni: 0.807 0.500 0.193
Ni: 0.847 0.342 0.847
Ni: 0.847 0.847 0.342

Main lines, by angle (2θ = 10–90°):
| 2theta | I_rel |
| --- | --- |
| 30.7 | 44 |
| 31.6 | 24 |
| 37.6 | 52 |
| 38.6 | 35 |
| 43.7 | 59 |
| 43.9 | 100 |
| 44.2 | 27 |
| 44.6 | 27 |
| 80.4 | 19 |
| 81.0 | 24 |


2.
Starting from a DFT-relaxed cell (PBE, Alexandria), the powder XRD pattern of CaAl2H6 was simulated for a wavelength of 1.5418 Å.
Lines closer than 0.1° are merged.

Structural model:
abc: 5.014 5.014 5.014
angles: 60.00 60.00 60.00
Sites, in units of the cell vectors:
Ca: 0.000 0.000 0.000
Al: 0.250 0.250 0.250
Al: 0.750 0.750 0.750
H: 0.286 0.286 0.714
H: 0.286 0.714 0.286
H: 0.286 0.714 0.714
H: 0.714 0.286 0.286
H: 0.714 0.286 0.714
H: 0.714 0.714 0.286

Main lines, by angle (2θ = 10–90°):
| 2theta | I_rel |
| --- | --- |
| 21.7 | 46 |
| 35.8 | 100 |
| 42.3 | 25 |
| 51.6 | 19 |
| 56.6 | 10 |
| 64.4 | 33 |
| 68.8 | 6 |
| 75.9 | 11 |
| 80.1 | 6 |
| 86.9 | 14 |